This entry pairs a crystal structure of Pm12YEr6 with its calculated powder XRD pattern. Radiation: Cu Kα. Structure: a structure optimized by DFT (PBE).
Lines closer than 0.1° are merged.

Cell lengths 12.0879, 12.0879, 15.2448 Å; angles 90.00, 90.00, 120.00 degrees
Space group R-3 (No. 148, hexagonal axes)
Asymmetric unit:
Pm 0.0041 0.1752 0.1915
Pm 0.0458 0.1966 0.4164
Y 0.0000 0.0000 0.0000
Er 0.0147 0.5877 0.6866

Largest 6 diffraction maxima, low angle first, 10 to 90 degrees two-theta:
Position (°2θ), intensity, index
30.54, 379, 0 1 5
31.09, 227, 0 3 3
31.36, 1000, 4 -3 1
32.62, 663, 2 1 4
33.01, 281, 3 1 2
54.74, 176, 2 5 0